The following is a calculated powder X-ray diffraction pattern of FeF. It was derived from a GGA+U-relaxed structure, using λ = 1.5418 Å (Cu Kα).
Intensities are scaled so that the largest is 100.

Principal peaks in the range 2θ = 10–90°, in order of falling intensity:
2theta, I/Imax, index
31.0, 100.0, 3 0 1
38.5, 55.1, 2 1 1
34.1, 53.6, 0 1 1
46.5, 41.4, 1 1 2
49.4, 37.3, 4 0 2
18.9, 37.1, 1 0 1

Atomic structure:
```
data_FeF
_cell_length_a 10.3283
_cell_length_b 3.0270
_cell_length_c 5.2796
_cell_angle_alpha 90.00
_cell_angle_beta 90.00
_cell_angle_gamma 90.00
_space_group_name_H-M_alt 'P m n 21'
_space_group_IT_number 31
_space_group_name_Hall 'P 2ac -2'
loop_
_atom_site_label
_atom_site_fract_x
_atom_site_fract_y
_atom_site_fract_z
Fe1 0.0000 0.1974 0.0000
Fe2 0.1262 0.7040 0.3521
F1 0.0000 0.7192 0.7042
F2 0.2385 0.2295 0.5231
```